[1]
Structure and simulated powder diffraction line list of PaHN2 (a cell relaxed with GGA-PBE; Cu Ka).
Intensities are scaled so that the largest is 100.

Cell and atoms:
```
data_PaHN2
_cell_length_a 3.6473
_cell_length_b 15.1414
_cell_length_c 4.2818
_cell_angle_alpha 90.00
_cell_angle_beta 90.00
_cell_angle_gamma 90.00
_symmetry_space_group_name_H-M 'C m c 21'
_symmetry_Int_Tables_number 36
loop_
_symmetry_equiv_pos_as_xyz
'x,y,z'
'-x,-y,z+1/2'
'-x,y,z'
'x,-y,z+1/2'
'x+1/2,y+1/2,z'
'-x+1/2,-y+1/2,z+1/2'
'-x+1/2,y+1/2,z'
'x+1/2,-y+1/2,z+1/2'
loop_
_atom_site_label
_atom_site_type_symbol
_atom_site_fract_x
_atom_site_fract_y
_atom_site_fract_z
Pa1 Pa 0.0000 0.1722 0.0000
H1 H 0.0000 0.4761 0.3748
N1 N 0.0000 0.2318 0.5023
N2 N 0.0000 0.4146 0.4820
```

Main lines, by intensity (2θ from 10° to 90°):
11.7 deg, rel. 100, (0 2 0)
23.9 deg, rel. 90, (0 2 1)
30.2 deg, rel. 68, (1 3 0)
32.8 deg, rel. 66, (1 1 1)
31.5 deg, rel. 42, (0 4 1)
52.8 deg, rel. 36, (1 3 2)
44.3 deg, rel. 33, (1 5 1)
53.7 deg, rel. 28, (1 7 1)
38.6 deg, rel. 18, (1 5 0)
56.2 deg, rel. 18, (2 2 1)

***

[2]
Structure and simulated powder diffraction line list of Pa2Sn2HN (a cell relaxed with GGA-PBE; Cu Ka).
Intensities are scaled so that the largest is 100.

Cell and atoms:
```
data_Pa2Sn2HN
_cell_length_a 5.4995
_cell_length_b 15.5532
_cell_length_c 5.5545
_cell_angle_alpha 90.00
_cell_angle_beta 90.00
_cell_angle_gamma 90.00
_symmetry_space_group_name_H-M 'I b a m'
_symmetry_Int_Tables_number 72
_symmetry_space_group_name_Hall '-I 2 2c'
loop_
_atom_site_label
_atom_site_type_symbol
_atom_site_fract_x
_atom_site_fract_y
_atom_site_fract_z
Pa1 Pa 0.2381 0.0794 0.0000
Sn1 Sn 0.2442 0.3010 0.0000
H1 H 0.0000 0.5000 0.2500
N1 N 0.0000 0.0000 0.2500
```

Main lines, by intensity (2θ from 10° to 90°):
32.5 deg, rel. 100, (2 0 0)
32.2 deg, rel. 22, (0 0 2)
58.1 deg, rel. 20, (3 4 1)
25.5 deg, rel. 19, (1 2 1)
46.5 deg, rel. 18, (2 0 2)
57.6 deg, rel. 16, (1 4 3)
77.2 deg, rel. 7, (3 4 3)
68.0 deg, rel. 6, (2 8 2)
64.5 deg, rel. 6, (1 10 1)
57.9 deg, rel. 5, (0 8 2)

***

[3]
Structure and simulated powder diffraction line list of Te2HPbN (a cell relaxed with GGA-PBE; Cu Ka).
Intensities are scaled so that the largest is 100.

Cell and atoms:
```
data_Te2HPbN
_cell_length_a 4.4243
_cell_length_b 4.4243
_cell_length_c 5.8670
_cell_angle_alpha 90.00
_cell_angle_beta 90.00
_cell_angle_gamma 90.00
_symmetry_space_group_name_H-M 'P 4/m m m'
_symmetry_Int_Tables_number 123
_symmetry_space_group_name_Hall '-P 4 2'
loop_
_atom_site_label
_atom_site_type_symbol
_atom_site_fract_x
_atom_site_fract_y
_atom_site_fract_z
Te1 Te 0.0000 0.5000 0.0000
H1 H 0.0000 0.0000 0.0000
Pb1 Pb 0.5000 0.5000 0.5000
N1 N 0.0000 0.0000 0.5000
```

Main lines, by intensity (2θ from 10° to 90°):
32.4 deg, rel. 100, (1 1 1)
25.2 deg, rel. 32, (1 0 1)
30.5 deg, rel. 30, (0 0 2)
40.8 deg, rel. 27, (2 0 0)
51.8 deg, rel. 27, (2 0 2)
20.1 deg, rel. 26, (1 0 0)
69.0 deg, rel. 23, (3 1 1)
55.4 deg, rel. 22, (1 1 3)
85.3 deg, rel. 13, (3 1 3)
36.8 deg, rel. 12, (1 0 2)

***

[4]
Structure and simulated powder diffraction line list of Pm4HN3 (a cell relaxed with GGA-PBE; Cu Ka).
Intensities are scaled so that the largest is 100.

Cell and atoms:
```
data_Pm4HN3
_cell_length_a 7.2951
_cell_length_b 10.1244
_cell_length_c 3.6062
_cell_angle_alpha 90.00
_cell_angle_beta 90.00
_cell_angle_gamma 90.00
_symmetry_space_group_name_H-M 'C m m m'
_symmetry_Int_Tables_number 65
_symmetry_space_group_name_Hall '-C 2 2'
loop_
_atom_site_label
_atom_site_type_symbol
_atom_site_fract_x
_atom_site_fract_y
_atom_site_fract_z
Pm1 Pm 0.0000 0.2452 0.0000
Pm2 Pm 0.2332 0.0000 0.5000
H1 H 0.0000 0.5000 0.0000
N1 N 0.0000 0.0000 0.0000
N2 N 0.2500 0.2500 0.5000
```

Main lines, by intensity (2θ from 10° to 90°):
30.4 deg, rel. 100, (0 2 1)
30.2 deg, rel. 100, (2 2 0)
35.0 deg, rel. 91, (2 0 1)
50.7 deg, rel. 78, (0 0 2)
35.5 deg, rel. 44, (0 4 0)
60.1 deg, rel. 30, (2 2 2)
59.7 deg, rel. 28, (4 2 1)
63.3 deg, rel. 16, (0 4 2)
50.0 deg, rel. 15, (4 0 0)
62.8 deg, rel. 15, (4 4 0)

***

[5]
Structure and simulated powder diffraction line list of PmH2SN (a cell relaxed with GGA-PBE; Cu Ka).
Intensities are scaled so that the largest is 100.

Cell and atoms:
```
data_PmH2SN
_cell_length_a 3.6140
_cell_length_b 3.6140
_cell_length_c 5.1533
_cell_angle_alpha 90.00
_cell_angle_beta 90.00
_cell_angle_gamma 90.00
_symmetry_space_group_name_H-M 'P 4 m m'
_symmetry_Int_Tables_number 99
loop_
_symmetry_equiv_pos_as_xyz
'x,y,z'
'-y,x,z'
'-x,-y,z'
'y,-x,z'
'-x,y,z'
'y,x,z'
'x,-y,z'
'-y,-x,z'
loop_
_atom_site_label
_atom_site_type_symbol
_atom_site_fract_x
_atom_site_fract_y
_atom_site_fract_z
Pm1 Pm 0.0000 0.0000 0.0000
H1 H 0.0000 0.5000 0.5666
S1 S 0.5000 0.5000 0.1608
N1 N 0.0000 0.0000 0.5418
```

Main lines, by intensity (2θ from 10° to 90°):
17.2 deg, rel. 100, (0 0 1)
30.2 deg, rel. 65, (1 0 1)
24.6 deg, rel. 62, (1 0 0)
35.1 deg, rel. 56, (1 1 0)
39.4 deg, rel. 54, (1 1 1)
43.1 deg, rel. 52, (1 0 2)
68.5 deg, rel. 25, (2 1 2)
50.3 deg, rel. 23, (1 1 2)
53.8 deg, rel. 21, (2 0 1)
60.0 deg, rel. 20, (2 1 1)

***

[6]
Structure and simulated powder diffraction line list of Pm2H2Se2N (a cell relaxed with GGA-PBE; Cu Ka).
Intensities are scaled so that the largest is 100.

Cell and atoms:
```
data_Pm2H2Se2N
_cell_length_a 4.4899
_cell_length_b 5.8780
_cell_length_c 13.5338
_cell_angle_alpha 90.00
_cell_angle_beta 90.00
_cell_angle_gamma 90.00
_symmetry_space_group_name_H-M 'I m m m'
_symmetry_Int_Tables_number 71
_symmetry_space_group_name_Hall '-I 2 2'
loop_
_atom_site_label
_atom_site_type_symbol
_atom_site_fract_x
_atom_site_fract_y
_atom_site_fract_z
Pm1 Pm 0.0000 0.0000 0.1646
H1 H 0.0993 0.5000 0.5000
Se1 Se 0.0000 0.5000 0.2013
N1 N 0.0000 0.0000 0.0000
```

Main lines, by intensity (2θ from 10° to 90°):
13.1 deg, rel. 100, (0 0 2)
28.0 deg, rel. 88, (1 0 3)
41.8 deg, rel. 60, (1 2 3)
20.8 deg, rel. 49, (1 0 1)
30.4 deg, rel. 47, (0 2 0)
24.9 deg, rel. 30, (0 1 3)
16.4 deg, rel. 28, (0 1 1)
40.2 deg, rel. 22, (2 0 0)
37.2 deg, rel. 22, (1 2 1)
33.2 deg, rel. 22, (0 2 2)

***

[7]
Structure and simulated powder diffraction line list of PmUHN2 (a cell relaxed with GGA-PBE; Cu Ka).
Intensities are scaled so that the largest is 100.

Cell and atoms:
```
data_PmUHN2
_cell_length_a 3.4634
_cell_length_b 3.4634
_cell_length_c 11.1354
_cell_angle_alpha 90.00
_cell_angle_beta 90.00
_cell_angle_gamma 90.00
_symmetry_space_group_name_H-M 'P 4/n m m'
_symmetry_Int_Tables_number 129
loop_
_symmetry_equiv_pos_as_xyz
'x,y,z'
'-x,-y,-z'
'-y+1/2,x,z'
'y+1/2,-x,-z'
'-x+1/2,-y+1/2,z'
'x+1/2,y+1/2,-z'
'y,-x+1/2,z'
'-y,x+1/2,-z'
'x+1/2,-y,-z'
'-x+1/2,y,z'
'-y,-x,-z'
'y,x,z'
'-x,y+1/2,-z'
'x,-y+1/2,z'
'y+1/2,x+1/2,-z'
'-y+1/2,-x+1/2,z'
loop_
_atom_site_label
_atom_site_type_symbol
_atom_site_fract_x
_atom_site_fract_y
_atom_site_fract_z
Pm1 Pm 0.2500 0.2500 0.1420
U1 U 0.2500 0.2500 0.6112
H1 H 0.2500 0.7500 0.0000
N1 N 0.2500 0.2500 0.3877
N2 N 0.2500 0.2500 0.7944
```

Main lines, by intensity (2θ from 10° to 90°):
30.4 deg, rel. 100, (1 0 2)
36.7 deg, rel. 41, (1 1 0)
62.2 deg, rel. 28, (2 1 2)
49.6 deg, rel. 28, (1 1 4)
32.2 deg, rel. 23, (0 0 4)
56.2 deg, rel. 15, (1 0 6)
52.9 deg, rel. 14, (2 0 0)
63.2 deg, rel. 13, (2 0 4)
80.8 deg, rel. 11, (2 1 6)
89.5 deg, rel. 7, (3 1 0)